Entry 1:
Tb4Co3Ru: theoretical powder X-ray diffraction pattern (Cu Kα), based on a DFT-relaxed cell (GGA-PBE, Alexandria).
Neutral-atom scattering factors, no anomalous dispersion.

The 10 most intense peaks (2θ = 10–90°), sorted by position:
hkl 1 0 2, 3.136 Å, I 338
hkl 1 1 1, 2.741 Å, I 1000
hkl 0 1 3, 2.633 Å, I 614
hkl 0 0 4, 2.578 Å, I 162
hkl 1 1 3, 2.191 Å, I 377
hkl 1 0 4, 2.159 Å, I 237
hkl 0 2 0, 2.048 Å, I 250
hkl 2 0 0, 1.975 Å, I 224
hkl 2 1 3, 1.580 Å, I 258
hkl 3 1 1, 1.245 Å, I 151

Cell and atoms:
```
data_Tb4Co3Ru
_chemical_formula_sum 'Tb4 Co3 Ru1'
_cell_length_a 3.9508
_cell_length_b 4.0960
_cell_length_c 10.3116
_cell_angle_alpha 90.00
_cell_angle_beta 90.00
_cell_angle_gamma 90.00
_space_group_name_H-M_alt 'P m m 2'
_space_group_IT_number 25
_space_group_name_Hall 'P 2 -2'
loop_
_atom_site_label
_atom_site_fract_x
_atom_site_fract_y
_atom_site_fract_z
Tb1 0.0000 0.0000 0.0000
Tb2 0.0000 0.5000 0.4957
Tb3 0.5000 0.0000 0.7078
Tb4 0.5000 0.5000 0.2089
Co1 0.0000 0.0000 0.2984
Co2 0.5000 0.0000 0.4036
Co3 0.5000 0.5000 0.9217
Ru1 0.0000 0.5000 0.7928
```

=====

Entry 2:
Th4Co2Ru: theoretical powder X-ray diffraction pattern (Cu Kα), based on a DFT-relaxed cell (GGA-PBE, Alexandria).
Neutral-atom scattering factors, no anomalous dispersion.

The 10 most intense peaks (2θ = 10–90°), sorted by position:
hkl 1 1 -2, 3.536 Å, I 244
hkl 2 2 0, 3.099 Å, I 1000
hkl 2 2 -2, 3.002 Å, I 535
hkl 1 3 1, 2.805 Å, I 929
hkl 0 4 1, 2.780 Å, I 466
hkl 1 3 -2, 2.751 Å, I 450
hkl 3 1 -1, 2.705 Å, I 419
hkl 3 1 -2, 2.655 Å, I 444
hkl 1 1 2, 2.393 Å, I 352
hkl 1 7 0, 1.719 Å, I 341

Cell and atoms:
```
data_Th4Co2Ru
_chemical_formula_sum 'Th16 Co8 Ru4'
_cell_length_a 8.4457
_cell_length_b 12.4017
_cell_length_c 7.4150
_cell_angle_alpha 90.00
_cell_angle_beta 122.08
_cell_angle_gamma 90.00
_space_group_name_H-M_alt 'C 1 c 1'
_space_group_IT_number 9
_space_group_name_Hall 'C -2yc'
loop_
_atom_site_label
_atom_site_fract_x
_atom_site_fract_y
_atom_site_fract_z
Th1 0.0000 0.0106 0.0000
Th2 0.0102 0.4502 0.8264
Th3 0.1411 0.2620 0.2729
Th4 0.2697 0.2027 0.8477
Co1 0.2941 0.0780 0.4970
Co2 0.3709 0.3507 0.1624
Ru1 0.2396 0.3930 0.6253
```

=====

Entry 3:
Ti3Co2Ru: theoretical powder X-ray diffraction pattern (Cu Kα), based on a DFT-relaxed cell (GGA-PBE, Alexandria).
Neutral-atom scattering factors, no anomalous dispersion.

The 10 most intense peaks (2θ = 10–90°), sorted by position:
hkl 0 0 1, 5.232 Å, I 17
hkl 1 0 0, 3.697 Å, I 28
hkl 1 0 1, 3.019 Å, I 92
hkl 1 1 0, 2.135 Å, I 1000
hkl 1 1 1, 1.976 Å, I 8
hkl 0 0 3, 1.743 Å, I 25
hkl 1 0 3, 1.577 Å, I 6
hkl 2 0 2, 1.510 Å, I 155
hkl 1 1 3, 1.350 Å, I 30
hkl 3 0 0, 1.233 Å, I 298

Cell and atoms:
```
data_Ti3Co2Ru
_chemical_formula_sum 'Ti3 Co2 Ru1'
_cell_length_a 4.2690
_cell_length_b 4.2690
_cell_length_c 5.2325
_cell_angle_alpha 90.00
_cell_angle_beta 90.00
_cell_angle_gamma 120.00
_space_group_name_H-M_alt 'P -3 m 1'
_space_group_IT_number 164
_space_group_name_Hall '-P 3 2"'
loop_
_atom_site_label
_atom_site_fract_x
_atom_site_fract_y
_atom_site_fract_z
Ti1 0.0000 0.0000 0.0000
Ti2 0.3333 0.6667 0.6724
Co1 0.3333 0.6667 0.1644
Ru1 0.0000 0.0000 0.5000
```

=====

Entry 4:
Tm2CoRu3: theoretical powder X-ray diffraction pattern (Cu Kα), based on a DFT-relaxed cell (GGA-PBE, Alexandria).
Neutral-atom scattering factors, no anomalous dispersion.

The 10 most intense peaks (2θ = 10–90°), sorted by position:
hkl 1 1 0, 2.624 Å, I 247
hkl 1 0 4, 2.609 Å, I 396
hkl 0 2 1, 2.235 Å, I 1000
hkl 0 1 5, 2.223 Å, I 291
hkl 2 0 2, 2.141 Å, I 219
hkl 2 1 4, 1.512 Å, I 152
hkl 3 0 3, 1.427 Å, I 136
hkl 1 2 5, 1.425 Å, I 139
hkl 2 2 0, 1.312 Å, I 159
hkl 2 0 8, 1.305 Å, I 156

Cell and atoms:
```
data_Tm2CoRu3
_chemical_formula_sum 'Tm6 Co3 Ru9'
_cell_length_a 5.2488
_cell_length_b 5.2488
_cell_length_c 12.7453
_cell_angle_alpha 90.00
_cell_angle_beta 90.00
_cell_angle_gamma 120.00
_space_group_name_H-M_alt 'R -3 m'
_space_group_IT_number 166
_space_group_name_Hall '-R 3 2"'
loop_
_atom_site_label
_atom_site_fract_x
_atom_site_fract_y
_atom_site_fract_z
Tm1 0.0000 0.0000 0.1246
Co1 0.0000 0.0000 0.5000
Ru1 0.0000 0.5000 0.0000
```

=====

Entry 5:
TmZrCoRu: theoretical powder X-ray diffraction pattern (Cu Kα), based on a DFT-relaxed cell (GGA-PBE, Alexandria).
Neutral-atom scattering factors, no anomalous dispersion.

The 10 most intense peaks (2θ = 10–90°), sorted by position:
hkl 0 0 1, 6.526 Å, I 74
hkl 1 0 0, 3.288 Å, I 65
hkl 1 0 1, 2.936 Å, I 116
hkl 1 1 0, 2.325 Å, I 515
hkl 1 0 2, 2.316 Å, I 1000
hkl 2 0 0, 1.644 Å, I 173
hkl 0 0 4, 1.632 Å, I 78
hkl 2 1 2, 1.340 Å, I 338
hkl 1 1 4, 1.335 Å, I 158
hkl 2 0 4, 1.158 Å, I 100

Cell and atoms:
```
data_TmZrCoRu
_chemical_formula_sum 'Tm1 Zr1 Co1 Ru1'
_cell_length_a 3.2875
_cell_length_b 3.2875
_cell_length_c 6.5260
_cell_angle_alpha 90.00
_cell_angle_beta 90.00
_cell_angle_gamma 90.00
_space_group_name_H-M_alt 'P 4 m m'
_space_group_IT_number 99
_space_group_name_Hall 'P 4 -2'
loop_
_atom_site_label
_atom_site_fract_x
_atom_site_fract_y
_atom_site_fract_z
Tm1 0.0000 0.0000 0.0000
Zr1 0.0000 0.0000 0.5095
Co1 0.5000 0.5000 0.7353
Ru1 0.5000 0.5000 0.2693
```

=====

Entry 6:
U2Co3Ru3: theoretical powder X-ray diffraction pattern (Cu Kα), based on a DFT-relaxed cell (GGA-PBE, Alexandria).
Neutral-atom scattering factors, no anomalous dispersion.

The 10 most intense peaks (2θ = 10–90°), sorted by position:
hkl 0 1 0, 3.904 Å, I 254
hkl 1 0 2, 2.742 Å, I 213
hkl 1 1 2, 2.244 Å, I 1000
hkl 2 0 0, 1.952 Å, I 328
hkl 0 0 4, 1.926 Å, I 156
hkl 2 2 0, 1.380 Å, I 106
hkl 2 0 4, 1.371 Å, I 205
hkl 3 1 2, 1.175 Å, I 254
hkl 1 1 6, 1.164 Å, I 122
hkl 2 2 4, 1.122 Å, I 112

Cell and atoms:
```
data_U2Co3Ru3
_chemical_formula_sum 'U2 Co3 Ru3'
_cell_length_a 3.9014
_cell_length_b 3.9055
_cell_length_c 7.7039
_cell_angle_alpha 90.00
_cell_angle_beta 90.00
_cell_angle_gamma 90.00
_space_group_name_H-M_alt 'P m m m'
_space_group_IT_number 47
_space_group_name_Hall '-P 2 2'
loop_
_atom_site_label
_atom_site_fract_x
_atom_site_fract_y
_atom_site_fract_z
U1 0.0000 0.0000 0.2454
Co1 0.0000 0.5000 0.0000
Co2 0.5000 0.5000 0.2456
Ru1 0.0000 0.5000 0.5000
Ru2 0.5000 0.0000 0.0000
Ru3 0.5000 0.0000 0.5000
```

=====

Entry 7:
V2Co3Ru3: theoretical powder X-ray diffraction pattern (Cu Kα), based on a DFT-relaxed cell (GGA-PBE, Alexandria).
Neutral-atom scattering factors, no anomalous dispersion.

The 10 most intense peaks (2θ = 10–90°), sorted by position:
hkl 1 1 0, 3.298 Å, I 223
hkl 2 0 2, 2.348 Å, I 422
hkl 1 1 3, 2.112 Å, I 1000
hkl 2 1 1, 2.088 Å, I 916
hkl 1 0 4, 1.939 Å, I 232
hkl 1 2 2, 1.913 Å, I 468
hkl 3 0 0, 1.904 Å, I 227
hkl 1 2 5, 1.311 Å, I 189
hkl 3 2 1, 1.294 Å, I 182
hkl 4 0 4, 1.174 Å, I 206

Cell and atoms:
```
data_V2Co3Ru3
_chemical_formula_sum 'V6 Co9 Ru9'
_cell_length_a 6.5954
_cell_length_b 6.5954
_cell_length_c 8.2474
_cell_angle_alpha 90.00
_cell_angle_beta 90.00
_cell_angle_gamma 120.00
_space_group_name_H-M_alt 'R 3 2'
_space_group_IT_number 155
_space_group_name_Hall 'R 3 2"'
loop_
_atom_site_label
_atom_site_fract_x
_atom_site_fract_y
_atom_site_fract_z
V1 0.0000 0.0000 0.2488
Co1 0.0000 0.2383 0.0000
Ru1 0.0000 0.7422 0.5000
```

=====

Entry 8:
VCo4Ru: theoretical powder X-ray diffraction pattern (Cu Kα), based on a DFT-relaxed cell (GGA-PBE, Alexandria).
Neutral-atom scattering factors, no anomalous dispersion.

The 10 most intense peaks (2θ = 10–90°), sorted by position:
hkl 0 0 1, 4.995 Å, I 52
hkl 1 0 1, 2.864 Å, I 106
hkl 0 0 2, 2.497 Å, I 36
hkl 1 0 2, 2.032 Å, I 976
hkl 1 1 0, 2.018 Å, I 1000
hkl 1 1 2, 1.570 Å, I 44
hkl 2 0 2, 1.432 Å, I 292
hkl 0 0 4, 1.249 Å, I 62
hkl 2 1 2, 1.168 Å, I 289
hkl 3 0 0, 1.165 Å, I 148

Cell and atoms:
```
data_VCo4Ru
_chemical_formula_sum 'V1 Co4 Ru1'
_cell_length_a 4.0364
_cell_length_b 4.0364
_cell_length_c 4.9948
_cell_angle_alpha 90.00
_cell_angle_beta 90.00
_cell_angle_gamma 120.00
_space_group_name_H-M_alt 'P 6/m m m'
_space_group_IT_number 191
_space_group_name_Hall '-P 6 2'
loop_
_atom_site_label
_atom_site_fract_x
_atom_site_fract_y
_atom_site_fract_z
V1 0.0000 0.0000 0.0000
Co1 0.3333 0.6667 0.2469
Ru1 0.0000 0.0000 0.5000
```

=====

Entry 9:
V6CoRu: theoretical powder X-ray diffraction pattern (Cu Kα), based on a DFT-relaxed cell (GGA-PBE, Alexandria).
Neutral-atom scattering factors, no anomalous dispersion.

The 10 most intense peaks (2θ = 10–90°), sorted by position:
hkl 1 0 0, 4.718 Å, I 63
hkl 1 1 0, 3.336 Å, I 144
hkl 1 1 1, 2.724 Å, I 29
hkl 2 0 0, 2.359 Å, I 475
hkl 2 0 1, 2.110 Å, I 784
hkl 2 1 1, 1.926 Å, I 1000
hkl 3 1 0, 1.492 Å, I 30
hkl 3 2 0, 1.309 Å, I 146
hkl 3 1 2, 1.261 Å, I 453
hkl 4 0 0, 1.180 Å, I 135

Cell and atoms:
```
data_V6CoRu
_chemical_formula_sum 'V6 Co1 Ru1'
_cell_length_a 4.7182
_cell_length_b 4.7182
_cell_length_c 4.7182
_cell_angle_alpha 90.00
_cell_angle_beta 90.00
_cell_angle_gamma 90.00
_space_group_name_H-M_alt 'P m -3'
_space_group_IT_number 200
_space_group_name_Hall '-P 2 2 3'
loop_
_atom_site_label
_atom_site_fract_x
_atom_site_fract_y
_atom_site_fract_z
V1 0.0000 0.2473 0.5000
Co1 0.0000 0.0000 0.0000
Ru1 0.5000 0.5000 0.5000
```

=====

Entry 10:
V2Co4Ru: theoretical powder X-ray diffraction pattern (Cu Kα), based on a DFT-relaxed cell (GGA-PBE, Alexandria).
Neutral-atom scattering factors, no anomalous dispersion.

The 10 most intense peaks (2θ = 10–90°), sorted by position:
hkl 1 0 1, 3.101 Å, I 400
hkl 1 0 5, 2.333 Å, I 680
hkl 1 1 0, 2.229 Å, I 367
hkl 0 0 8, 2.168 Å, I 304
hkl 1 1 2, 2.159 Å, I 910
hkl 1 1 4, 1.982 Å, I 448
hkl 1 0 7, 1.948 Å, I 1000
hkl 1 1 6, 1.765 Å, I 408
hkl 2 0 0, 1.576 Å, I 567
hkl 2 1 7, 1.225 Å, I 395

Cell and atoms:
```
data_V2Co4Ru
_chemical_formula_sum 'V4 Co8 Ru2'
_cell_length_a 3.1519
_cell_length_b 3.1519
_cell_length_c 17.3460
_cell_angle_alpha 90.00
_cell_angle_beta 90.00
_cell_angle_gamma 90.00
_space_group_name_H-M_alt 'I 4/m m m'
_space_group_IT_number 139
_space_group_name_Hall '-I 4 2'
loop_
_atom_site_label
_atom_site_fract_x
_atom_site_fract_y
_atom_site_fract_z
V1 0.0000 0.0000 0.0903
Co1 0.0000 0.0000 0.3542
Co2 0.0000 0.5000 0.2500
Ru1 0.0000 0.0000 0.5000
```

=====

Entry 11:
Co2RuW: theoretical powder X-ray diffraction pattern (Cu Kα), based on a DFT-relaxed cell (GGA-PBE, Alexandria).
Neutral-atom scattering factors, no anomalous dispersion.

The 10 most intense peaks (2θ = 10–90°), sorted by position:
hkl 0 0 2, 3.716 Å, I 38
hkl 1 0 1, 3.324 Å, I 310
hkl 1 1 2, 2.146 Å, I 1000
hkl 1 0 3, 2.061 Å, I 87
hkl 2 0 0, 1.858 Å, I 479
hkl 2 1 1, 1.622 Å, I 85
hkl 2 1 3, 1.380 Å, I 77
hkl 2 2 0, 1.314 Å, I 296
hkl 3 1 2, 1.120 Å, I 361
hkl 3 0 3, 1.108 Å, I 41

Cell and atoms:
```
data_Co2RuW
_chemical_formula_sum 'Co4 Ru2 W2'
_cell_length_a 3.7164
_cell_length_b 3.7164
_cell_length_c 7.4318
_cell_angle_alpha 90.00
_cell_angle_beta 90.00
_cell_angle_gamma 90.00
_space_group_name_H-M_alt 'I -4 m 2'
_space_group_IT_number 119
_space_group_name_Hall 'I -4 -2'
loop_
_atom_site_label
_atom_site_fract_x
_atom_site_fract_y
_atom_site_fract_z
Co1 0.0000 0.0000 0.0000
Co2 0.0000 0.5000 0.2500
Ru1 0.0000 0.0000 0.5000
W1 0.0000 0.5000 0.7500
```

=====

Entry 12:
Y8Co2Ru: theoretical powder X-ray diffraction pattern (Cu Kα), based on a DFT-relaxed cell (GGA-PBE, Alexandria).
Neutral-atom scattering factors, no anomalous dispersion.

The 10 most intense peaks (2θ = 10–90°), sorted by position:
hkl 1 3 1, 2.872 Å, I 631
hkl 1 1 -2, 2.860 Å, I 765
hkl 2 0 1, 2.800 Å, I 963
hkl 0 4 1, 2.717 Å, I 1000
hkl 3 1 -1, 2.629 Å, I 911
hkl 0 2 2, 2.549 Å, I 452
hkl 2 4 0, 2.426 Å, I 592
hkl 1 5 -1, 2.259 Å, I 859
hkl 3 3 0, 2.194 Å, I 379
hkl 2 4 2, 1.677 Å, I 443

Cell and atoms:
```
data_Y8Co2Ru
_chemical_formula_sum 'Y16 Co4 Ru2'
_cell_length_a 8.1681
_cell_length_b 12.4386
_cell_length_c 5.8836
_cell_angle_alpha 90.00
_cell_angle_beta 108.25
_cell_angle_gamma 90.00
_space_group_name_H-M_alt 'C 1 m 1'
_space_group_IT_number 8
_space_group_name_Hall 'C -2y'
loop_
_atom_site_label
_atom_site_fract_x
_atom_site_fract_y
_atom_site_fract_z
Y1 0.0000 0.0000 0.0000
Y2 0.0669 0.3699 0.7743
Y3 0.1552 0.1300 0.5826
Y4 0.2213 0.5000 0.3707
Y5 0.3586 0.2151 0.1827
Co1 0.3636 0.3089 0.6866
Ru1 0.3587 0.0000 0.2903
```

=====

Entry 13:
Zr6Co5Ru: theoretical powder X-ray diffraction pattern (Cu Kα), based on a DFT-relaxed cell (GGA-PBE, Alexandria).
Neutral-atom scattering factors, no anomalous dispersion.

The 10 most intense peaks (2θ = 10–90°), sorted by position:
hkl 1 0 1, 3.211 Å, I 29
hkl 1 2 1, 2.270 Å, I 1000
hkl 2 2 -1, 1.854 Å, I 8
hkl 2 0 2, 1.608 Å, I 54
hkl 0 4 0, 1.604 Å, I 108
hkl 3 0 -3, 1.435 Å, I 7
hkl 3 2 0, 1.311 Å, I 159
hkl 0 4 3, 1.310 Å, I 158
hkl 4 0 -2, 1.136 Å, I 50
hkl 2 4 -4, 1.134 Å, I 50

Cell and atoms:
```
data_Zr6Co5Ru
_chemical_formula_sum 'Zr6 Co5 Ru1'
_cell_length_a 4.5456
_cell_length_b 6.4176
_cell_length_c 7.1717
_cell_angle_alpha 90.00
_cell_angle_beta 108.34
_cell_angle_gamma 90.00
_space_group_name_H-M_alt 'P 1 2/m 1'
_space_group_IT_number 10
_space_group_name_Hall '-P 2y'
loop_
_atom_site_label
_atom_site_fract_x
_atom_site_fract_y
_atom_site_fract_z
Zr1 0.0000 0.2468 0.0000
Zr2 0.3317 0.2483 0.6636
Co1 0.1660 0.0000 0.3315
Co2 0.1673 0.5000 0.3342
Co3 0.5000 0.0000 0.0000
Ru1 0.5000 0.5000 0.0000
```

=====

Entry 14:
CoS: theoretical powder X-ray diffraction pattern (Cu Kα), based on a DFT-relaxed cell (GGA-PBE, Alexandria).
Neutral-atom scattering factors, no anomalous dispersion.

The 10 most intense peaks (2θ = 10–90°), sorted by position:
hkl 1 1 0, 4.700 Å, I 1000
hkl 2 0 0, 3.323 Å, I 222
hkl 2 1 1, 2.713 Å, I 136
hkl 3 1 0, 2.102 Å, I 480
hkl 2 2 2, 1.919 Å, I 124
hkl 3 2 1, 1.776 Å, I 287
hkl 4 0 0, 1.662 Å, I 95
hkl 3 3 0, 1.567 Å, I 290
hkl 4 3 1, 1.304 Å, I 118
hkl 5 2 1, 1.213 Å, I 68

Cell and atoms:
```
data_CoS
_chemical_formula_sum 'Co8 S8'
_cell_length_a 6.6466
_cell_length_b 6.6466
_cell_length_c 6.6466
_cell_angle_alpha 90.00
_cell_angle_beta 90.00
_cell_angle_gamma 90.00
_space_group_name_H-M_alt 'I -4 3 m'
_space_group_IT_number 217
_space_group_name_Hall 'I -4 2 3'
loop_
_atom_site_label
_atom_site_fract_x
_atom_site_fract_y
_atom_site_fract_z
Co1 0.1378 0.1378 0.8622
S1 0.1836 0.1836 0.1836
```